[1]
# K2EuCl5
Computed X-ray powder pattern, Cu Kα (λ = 1.5418 Å). Input: a DFT-relaxed cell (PBE, the Materials Project).

Atomic structure:
abc: 13.156 8.877 8.077
angles: 90.00 90.00 90.00
Positions (direct):
1 K 0.176 0.001 0.027
2 K 0.176 0.499 0.027
3 K 0.324 0.501 0.527
4 K 0.324 0.999 0.527
5 K 0.676 0.001 0.473
6 K 0.676 0.499 0.473
7 K 0.824 0.501 0.973
8 K 0.824 0.999 0.973
9 Eu 0.003 0.750 0.564
10 Eu 0.497 0.250 0.064
11 Eu 0.503 0.750 0.936
12 Eu 0.997 0.250 0.436
13 Cl 0.008 0.750 0.922
14 Cl 0.086 0.035 0.653
15 Cl 0.086 0.465 0.653
16 Cl 0.171 0.750 0.352
17 Cl 0.200 0.250 0.318
18 Cl 0.300 0.750 0.818
19 Cl 0.329 0.250 0.852
20 Cl 0.414 0.535 0.153
21 Cl 0.414 0.965 0.153
22 Cl 0.492 0.250 0.422
23 Cl 0.508 0.750 0.578
24 Cl 0.586 0.035 0.847
25 Cl 0.586 0.465 0.847
26 Cl 0.671 0.750 0.148
27 Cl 0.700 0.250 0.182
28 Cl 0.800 0.750 0.682
29 Cl 0.829 0.250 0.648
30 Cl 0.914 0.535 0.347
31 Cl 0.914 0.965 0.347
32 Cl 0.992 0.250 0.078

Top 8 peaks for 2θ = 10–80°, low angle first:
hkl 1 0 1, 12.86°, I 100.0
hkl 2 0 0, 13.46°, I 46.2
hkl 3 0 1, 23.08°, I 41.0
hkl 1 2 1, 23.85°, I 52.7
hkl 2 2 0, 24.19°, I 39.3
hkl 2 2 2, 32.93°, I 63.3
hkl 4 2 0, 33.93°, I 43.3
hkl 5 2 1, 41.43°, I 39.8



[2]
# Li2SiSnS4
Computed X-ray powder pattern, Cu Kα (λ = 1.5418 Å). Input: a DFT-relaxed cell (PBE, the Materials Project).

Atomic structure:
abc: 6.470 6.470 7.729
angles: 90.00 90.00 90.00
Positions (direct):
1 Li 0.000 0.500 0.250
2 Li 0.000 0.500 0.750
3 Li 0.500 0.000 0.250
4 Li 0.500 0.000 0.750
5 Si 0.000 0.000 0.000
6 Si 0.500 0.500 0.500
7 Sn 0.000 0.000 0.500
8 Sn 0.500 0.500 0.000
9 S 0.192 0.192 0.158
10 S 0.192 0.808 0.842
11 S 0.308 0.308 0.658
12 S 0.308 0.692 0.342
13 S 0.692 0.308 0.342
14 S 0.692 0.692 0.658
15 S 0.808 0.192 0.842
16 S 0.808 0.808 0.158

Top 8 peaks for 2θ = 10–80°, low angle first:
hkl 1 0 1, 17.88°, I 35.3
hkl 1 1 0, 19.40°, I 100.0
hkl 1 1 2, 30.27°, I 94.1
hkl 2 1 1, 33.05°, I 73.4
hkl 2 0 2, 36.21°, I 53.5
hkl 1 0 3, 37.58°, I 29.0
hkl 2 2 0, 39.39°, I 35.3
hkl 3 1 2, 50.47°, I 43.2



[3]
# GdFe5P3
Computed X-ray powder pattern, Cu Kα (λ = 1.5418 Å). Input: a DFT-relaxed cell (PBE, the Materials Project).

Atomic structure:
abc: 11.814 3.661 10.290
angles: 90.00 90.00 90.00
Positions (direct):
1 Gd 0.204 0.250 0.082
2 Gd 0.296 0.750 0.582
3 Gd 0.704 0.250 0.418
4 Gd 0.796 0.750 0.918
5 Fe 0.009 0.750 0.095
6 Fe 0.013 0.750 0.706
7 Fe 0.066 0.750 0.464
8 Fe 0.176 0.250 0.781
9 Fe 0.200 0.250 0.377
10 Fe 0.300 0.750 0.877
11 Fe 0.324 0.750 0.281
12 Fe 0.434 0.250 0.964
13 Fe 0.487 0.250 0.206
14 Fe 0.491 0.250 0.595
15 Fe 0.509 0.750 0.405
16 Fe 0.513 0.750 0.794
17 Fe 0.566 0.750 0.036
18 Fe 0.676 0.250 0.719
19 Fe 0.700 0.250 0.123
20 Fe 0.800 0.750 0.623
21 Fe 0.824 0.750 0.219
22 Fe 0.934 0.250 0.536
23 Fe 0.987 0.250 0.294
24 Fe 0.991 0.250 0.905
25 P 0.104 0.750 0.897
26 P 0.112 0.250 0.579
27 P 0.129 0.750 0.268
28 P 0.371 0.250 0.768
29 P 0.388 0.750 0.079
30 P 0.396 0.250 0.397
31 P 0.604 0.750 0.603
32 P 0.612 0.250 0.921
33 P 0.629 0.750 0.232
34 P 0.871 0.250 0.732
35 P 0.888 0.750 0.421
36 P 0.896 0.250 0.103

Top 8 peaks for 2θ = 10–80°, low angle first:
hkl 1 1 1, 26.93°, I 19.5
hkl 3 1 2, 37.84°, I 18.4
hkl 2 1 3, 39.09°, I 100.0
hkl 4 1 0, 39.19°, I 54.1
hkl 4 0 3, 40.26°, I 24.8
hkl 0 2 0, 49.81°, I 31.4
hkl 6 0 3, 53.67°, I 20.5
hkl 6 2 3, 76.26°, I 17.3